Computed X-ray diffraction stick pattern
Compound: Pa2Co5Si3
Radiation: copper Kα
Structure: a GGA-PBE-relaxed structure
Peak positions follow from Bragg's law for the DFT cell and can differ from measured ones.

Structural model:
```
data_Pa2Co5Si3
_cell_length_a 3.893
_cell_length_b 23.572
_cell_length_c 6.329
_cell_angle_alpha 90.00
_cell_angle_beta 90.00
_cell_angle_gamma 90.00
_symmetry_space_group_name_H-M 'C m c 21'
_symmetry_Int_Tables_number 36
_symmetry_space_group_name_Hall 'C 2c -2'
loop_
_atom_site_label
_atom_site_fract_x
_atom_site_fract_y
_atom_site_fract_z
_atom_site_occupancy
Pa1 0.000 0.011 0.000 1
Pa2 0.000 0.323 0.999 1
Co1 0.000 0.099 0.601 1
Co2 0.000 0.211 0.181 1
Co3 0.000 0.213 0.773 1
Co4 0.000 0.371 0.522 1
Co5 0.000 0.442 0.845 1
Si1 0.000 0.114 0.234 1
Si2 0.000 0.275 0.478 1
Si3 0.000 0.436 0.231 1
```

Largest 10 diffraction maxima, in order of falling intensity, 5° ≤ 2θ ≤ 70°:
hkl	2theta	Rel. int.
1 3 2	38.41	100
1 7 1	38.10	64
1 3 0	25.54	48
1 9 0	41.56	38
0 6 2	36.46	33
0 10 1	40.85	30
2 0 0	46.67	29
0 4 3	45.70	24
0 0 2	28.20	23
0 2 1	15.89	21